(1)
Structure and computed X-ray powder pattern of Li2CoBiF8 (a crystal structure in Alexandria, relaxed with PBE+U; Cu Kα (weighted mean of Kα1 and Kα2)).
Neutral-atom scattering factors, no anomalous dispersion.

Largest 6 diffraction maxima, sorted by position, 2θ = 15–90°:
2θ/deg  intensity
18.5  100
25.5  29
26.4  22
27.2  25
38.0  19
41.1  21

Lattice parameters (Å, degrees): 4.7971 4.8097 6.7772 86.84 87.49 86.23
Fractional coordinates of all 12 atoms:
Li  0.0360  0.0359  0.2596
Li  0.9640  0.9641  0.7404
Co  0.5000  0.5000  0.0000
Bi  0.5000  0.5000  0.5000
F  0.1780  0.1819  0.5043
F  0.2407  0.2459  0.0249
F  0.2971  0.6985  0.7805
F  0.3005  0.7107  0.2224
F  0.6995  0.2893  0.7776
F  0.7029  0.3015  0.2195
F  0.7593  0.7541  0.9751
F  0.8220  0.8181  0.4957



(2)
Structure and computed X-ray powder pattern of NaCo2BiF8 (a crystal structure in Alexandria, relaxed with PBE+U; Cu Kα (weighted mean of Kα1 and Kα2)).
Neutral-atom scattering factors, no anomalous dispersion.

Largest 6 diffraction maxima, sorted by position, 2θ = 15–90°:
2θ/deg  intensity
21.9  100
24.7  77
24.9  67
31.9  98
48.2  42
48.5  45

Lattice parameters (Å, degrees): 5.0759 5.0812 6.7278 89.91 89.92 89.49
Fractional coordinates of all 12 atoms:
Na  0.0000  0.0000  0.0000
Co  0.5001  0.5001  0.2355
Co  0.4999  0.4999  0.7645
Bi  0.0000  0.0000  0.5000
F  0.2149  0.7835  0.2529
F  0.2149  0.7835  0.7471
F  0.3212  0.3201  0.0006
F  0.3215  0.3199  0.5003
F  0.6785  0.6801  0.4997
F  0.6788  0.6799  0.9994
F  0.7851  0.2165  0.2529
F  0.7851  0.2165  0.7471



(3)
Structure and computed X-ray powder pattern of TlCoBiF6 (a crystal structure in Alexandria, relaxed with PBE+U; Cu Kα (weighted mean of Kα1 and Kα2)).
Neutral-atom scattering factors, no anomalous dispersion.

Largest 6 diffraction maxima, sorted by position, 2θ = 15–90°:
2θ/deg  intensity
17.3  12
23.8  100
30.3  38
38.8  30
45.1  36
50.0  28

Lattice parameters (Å, degrees): 5.9066 5.9066 5.4858 90.00 90.00 120.00
Fractional coordinates of all 9 atoms:
Tl  0.0000  0.0000  0.0000
Co  0.3333  0.6667  0.4498
Bi  0.6667  0.3333  0.5106
F  0.0534  0.3597  0.6510
F  0.3063  0.9466  0.6510
F  0.4191  0.4133  0.2541
F  0.5867  0.0058  0.2541
F  0.6403  0.6937  0.6510
F  0.9942  0.5809  0.2541